[1]
This entry pairs a crystal structure of Tb2HoSc2 with its simulated powder X-ray diffraction pattern. Radiation: Cu Kα X-rays. Structure: a cell relaxed with PBE.
Lines closer than 0.1° are merged.

Crystal structure
```
data_Tb2HoSc2
_space_group_name_H-M_alt 'I m m a'
_space_group_IT_number 74
_space_group_name_Hall '-I 2b 2'
_cell_length_a 5.549
_cell_length_b 6.835
_cell_length_c 15.563
_cell_angle_alpha 90.00
_cell_angle_beta 90.00
_cell_angle_gamma 90.00
loop_
_atom_site_label
_atom_site_fract_x
_atom_site_fract_y
_atom_site_fract_z
Tb1 0.000 0.001 0.188
Ho1 0.000 0.250 0.607
Sc1 0.000 0.250 0.004
Sc2 0.000 0.250 0.382
```

Peak list (6 most intense, 10° ≤ 2θ ≤ 90°, in order of rising 2θ)
two_theta  I_rel
11.37  35
28.53  44
31.27  40
32.26  54
33.00  89
35.37  100

[2]
This entry pairs a crystal structure of TbHo2Sc2 with its simulated powder X-ray diffraction pattern. Radiation: Cu Kα X-rays. Structure: a cell relaxed with PBE.
Lines closer than 0.1° are merged.

Crystal structure
```
data_TbHo2Sc2
_space_group_name_H-M_alt 'P 1 21/c 1'
_space_group_IT_number 14
_cell_length_a 13.971
_cell_length_b 6.898
_cell_length_c 5.980
_cell_angle_alpha 90.00
_cell_angle_beta 98.12
_cell_angle_gamma 90.00
loop_
_space_group_symop_operation_xyz
'x,y,z'
'-x,-y,-z'
'-x,y+1/2,-z+1/2'
'x,-y+1/2,z+1/2'
loop_
_atom_site_label
_atom_site_fract_x
_atom_site_fract_y
_atom_site_fract_z
Tb1 0.196 0.123 0.150
Ho1 0.197 0.627 0.145
Ho2 0.402 0.124 0.881
Sc1 0.000 0.125 0.750
Sc2 0.401 0.626 0.886
```

Peak list (6 most intense, 10° ≤ 2θ ≤ 90°, in order of rising 2θ)
two_theta  I_rel
31.15  100
32.36  55
33.58  47
34.64  52
38.43  52
63.55  47

[3]
This entry pairs a crystal structure of TbHo3Sc3 with its simulated powder X-ray diffraction pattern. Radiation: Cu Kα X-rays. Structure: a cell relaxed with PBE.
Lines closer than 0.1° are merged.

Crystal structure
```
data_TbHo3Sc3
_space_group_name_H-M_alt 'P 63/m'
_space_group_IT_number 176
_space_group_name_Hall '-P 6c'
_cell_length_a 9.2057
_cell_length_b 9.2057
_cell_length_c 5.4315
_cell_angle_alpha 90.00
_cell_angle_beta 90.00
_cell_angle_gamma 120.00
loop_
_atom_site_label
_atom_site_fract_x
_atom_site_fract_y
_atom_site_fract_z
Tb1 0.3333 0.6667 0.2500
Ho1 0.0481 0.8041 0.2500
Sc1 0.0959 0.6147 0.7500
```

Peak list (6 most intense, 10° ≤ 2θ ≤ 90°, in order of rising 2θ)
two_theta  I_rel
29.65  28
32.98  24
34.02  100
52.61  19
59.57  20
63.51  21

[4]
This entry pairs a crystal structure of Tb3Ho5Sc2 with its simulated powder X-ray diffraction pattern. Radiation: Cu Kα X-rays. Structure: a cell relaxed with PBE.
Lines closer than 0.1° are merged.

Crystal structure
```
data_Tb3Ho5Sc2
_space_group_name_H-M_alt 'P -1'
_space_group_IT_number 2
_cell_length_a 9.202
_cell_length_b 9.205
_cell_length_c 9.218
_cell_angle_alpha 106.63
_cell_angle_beta 106.58
_cell_angle_gamma 115.31
loop_
_space_group_symop_operation_xyz
'x,y,z'
'-x,-y,-z'
loop_
_atom_site_label
_atom_site_fract_x
_atom_site_fract_y
_atom_site_fract_z
Tb1 0.026 0.078 0.350
Tb2 0.178 0.526 0.452
Tb3 0.228 0.677 0.150
Ho1 0.075 0.227 0.051
Ho2 0.128 0.378 0.750
Ho3 0.325 0.977 0.552
Ho4 0.378 0.129 0.250
Ho5 0.427 0.275 0.952
Sc1 0.279 0.829 0.852
Sc2 0.476 0.426 0.649
```

Peak list (6 most intense, 10° ≤ 2θ ≤ 90°, in order of rising 2θ)
two_theta  I_rel
31.47  100
36.50  50
52.58  35
62.55  31
62.64  10
65.70  12

- Number 2 is which compound?
  TbHo2Sc2

Copy entry 4 word for word.
This entry pairs a crystal structure of Tb3Ho5Sc2 with its simulated powder X-ray diffraction pattern. Radiation: Cu Kα X-rays. Structure: a cell relaxed with PBE.
Lines closer than 0.1° are merged.

Crystal structure
```
data_Tb3Ho5Sc2
_space_group_name_H-M_alt 'P -1'
_space_group_IT_number 2
_cell_length_a 9.202
_cell_length_b 9.205
_cell_length_c 9.218
_cell_angle_alpha 106.63
_cell_angle_beta 106.58
_cell_angle_gamma 115.31
loop_
_space_group_symop_operation_xyz
'x,y,z'
'-x,-y,-z'
loop_
_atom_site_label
_atom_site_fract_x
_atom_site_fract_y
_atom_site_fract_z
Tb1 0.026 0.078 0.350
Tb2 0.178 0.526 0.452
Tb3 0.228 0.677 0.150
Ho1 0.075 0.227 0.051
Ho2 0.128 0.378 0.750
Ho3 0.325 0.977 0.552
Ho4 0.378 0.129 0.250
Ho5 0.427 0.275 0.952
Sc1 0.279 0.829 0.852
Sc2 0.476 0.426 0.649
```

Peak list (6 most intense, 10° ≤ 2θ ≤ 90°, in order of rising 2θ)
two_theta  I_rel
31.47  100
36.50  50
52.58  35
62.55  31
62.64  10
65.70  12

Please write out number 2 again, unchanged.
This entry pairs a crystal structure of TbHo2Sc2 with its simulated powder X-ray diffraction pattern. Radiation: Cu Kα X-rays. Structure: a cell relaxed with PBE.
Lines closer than 0.1° are merged.

Crystal structure
```
data_TbHo2Sc2
_space_group_name_H-M_alt 'P 1 21/c 1'
_space_group_IT_number 14
_cell_length_a 13.971
_cell_length_b 6.898
_cell_length_c 5.980
_cell_angle_alpha 90.00
_cell_angle_beta 98.12
_cell_angle_gamma 90.00
loop_
_space_group_symop_operation_xyz
'x,y,z'
'-x,-y,-z'
'-x,y+1/2,-z+1/2'
'x,-y+1/2,z+1/2'
loop_
_atom_site_label
_atom_site_fract_x
_atom_site_fract_y
_atom_site_fract_z
Tb1 0.196 0.123 0.150
Ho1 0.197 0.627 0.145
Ho2 0.402 0.124 0.881
Sc1 0.000 0.125 0.750
Sc2 0.401 0.626 0.886
```

Peak list (6 most intense, 10° ≤ 2θ ≤ 90°, in order of rising 2θ)
two_theta  I_rel
31.15  100
32.36  55
33.58  47
34.64  52
38.43  52
63.55  47